Entry 1:
This entry pairs a crystal structure of Hf4Ge2N with its computed X-ray diffraction stick pattern. Radiation: λ = 1.5418 Å (Cu Kα). Structure: the PBE geometry in Alexandria.
No peak broadening, texture or thermal motion is included.

Top 12 peaks for 2θ = 10–90°, by angle:
d 7.217, 2θ = 12.3°, rel. 21, hkl 0 0 2; d 3.166, 2θ = 28.2°, rel. 20, hkl 1 0 3; d 2.749, 2θ = 32.6°, rel. 100, hkl 1 1 2; d 2.406, 2θ = 37.4°, rel. 38, hkl 0 0 6; d 2.294, 2θ = 39.3°, rel. 87, hkl 1 1 4; d 2.102, 2θ = 43.0°, rel. 59, hkl 2 0 0; d 1.583, 2θ = 58.3°, rel. 42, hkl 2 0 6; d 1.486, 2θ = 62.5°, rel. 20, hkl 2 2 0; d 1.307, 2θ = 72.3°, rel. 21, hkl 3 1 2; d 1.298, 2θ = 72.8°, rel. 14, hkl 1 1 10; d 1.264, 2θ = 75.1°, rel. 20, hkl 2 2 6; d 1.247, 2θ = 76.3°, rel. 25, hkl 3 1 4

Structure:
```
data_Hf4Ge2N
_cell_length_a 4.204
_cell_length_b 4.204
_cell_length_c 14.434
_cell_angle_alpha 90.00
_cell_angle_beta 90.00
_cell_angle_gamma 90.00
_symmetry_space_group_name_H-M 'I 4/m m m'
_symmetry_Int_Tables_number 139
_symmetry_space_group_name_Hall '-I 4 2'
loop_
_atom_site_label
_atom_site_fract_x
_atom_site_fract_y
_atom_site_fract_z
Hf1 0.000 0.000 0.166
Hf2 0.000 0.500 0.000
Ge1 0.000 0.000 0.357
N1 0.000 0.000 0.000
```

***

Entry 2:
This entry pairs a crystal structure of HfPa2GeN5 with its computed X-ray diffraction stick pattern. Radiation: λ = 1.5418 Å (Cu Kα). Structure: the PBE geometry in Alexandria.
No peak broadening, texture or thermal motion is included.

Top 12 peaks for 2θ = 10–90°, by angle:
d 3.162, 2θ = 28.2°, rel. 27, hkl 1 1 0; d 3.051, 2θ = 29.3°, rel. 55, hkl 0 2 3; d 2.870, 2θ = 31.2°, rel. 100, hkl 0 4 2; d 2.686, 2θ = 33.4°, rel. 48, hkl 1 1 2; d 2.659, 2θ = 33.7°, rel. 70, hkl 1 3 0; d 2.547, 2θ = 35.2°, rel. 27, hkl 0 0 4; d 2.314, 2θ = 38.9°, rel. 74, hkl 1 1 3; d 1.951, 2θ = 46.6°, rel. 24, hkl 1 5 2; d 1.839, 2θ = 49.6°, rel. 24, hkl 1 3 4; d 1.617, 2θ = 56.9°, rel. 21, hkl 1 3 5; d 1.607, 2θ = 57.3°, rel. 42, hkl 1 7 2; d 1.413, 2θ = 66.1°, rel. 25, hkl 2 4 2

Structure:
```
data_HfPa2GeN5
_cell_length_a 3.247
_cell_length_b 13.898
_cell_length_c 10.187
_cell_angle_alpha 90.00
_cell_angle_beta 90.00
_cell_angle_gamma 90.00
_symmetry_space_group_name_H-M 'C m c 21'
_symmetry_Int_Tables_number 36
loop_
_symmetry_equiv_pos_as_xyz
'x,y,z'
'-x,-y,z+1/2'
'-x,y,z'
'x,-y,z+1/2'
'x+1/2,y+1/2,z'
'-x+1/2,-y+1/2,z+1/2'
'-x+1/2,y+1/2,z'
'x+1/2,-y+1/2,z+1/2'
loop_
_atom_site_label
_atom_site_fract_x
_atom_site_fract_y
_atom_site_fract_z
Hf1 0.000 0.216 0.000
Pa1 0.000 0.124 0.704
Pa2 0.000 0.138 0.287
Ge1 0.000 0.495 0.473
N1 0.000 0.052 0.047
N2 0.000 0.291 0.650
N3 0.000 0.304 0.355
N4 0.000 0.370 0.009
N5 0.000 0.498 0.786
```

***

Entry 3:
This entry pairs a crystal structure of Hf4Th2Ge3N2 with its computed X-ray diffraction stick pattern. Radiation: λ = 1.5418 Å (Cu Kα). Structure: the PBE geometry in Alexandria.
No peak broadening, texture or thermal motion is included.

Top 12 peaks for 2θ = 10–90°, by angle:
d 3.787, 2θ = 23.5°, rel. 26, hkl 1 0 3; d 2.965, 2θ = 30.1°, rel. 81, hkl 1 1 2; d 2.915, 2θ = 30.7°, rel. 34, hkl 0 0 8; d 2.642, 2θ = 33.9°, rel. 24, hkl 1 0 7; d 2.407, 2θ = 37.4°, rel. 100, hkl 1 1 6; d 2.168, 2θ = 41.7°, rel. 62, hkl 2 0 0; d 1.740, 2θ = 52.6°, rel. 30, hkl 2 0 8; d 1.533, 2θ = 60.4°, rel. 21, hkl 2 2 0; d 1.464, 2θ = 63.6°, rel. 13, hkl 1 1 14; d 1.362, 2θ = 69.0°, rel. 16, hkl 3 1 2; d 1.357, 2θ = 69.2°, rel. 13, hkl 2 2 8; d 1.293, 2θ = 73.2°, rel. 29, hkl 3 1 6

Structure:
```
data_Hf4Th2Ge3N2
_cell_length_a 4.336
_cell_length_b 4.336
_cell_length_c 23.322
_cell_angle_alpha 90.00
_cell_angle_beta 90.00
_cell_angle_gamma 90.00
_symmetry_space_group_name_H-M 'I 4/m m m'
_symmetry_Int_Tables_number 139
_symmetry_space_group_name_Hall '-I 4 2'
loop_
_atom_site_label
_atom_site_fract_x
_atom_site_fract_y
_atom_site_fract_z
Hf1 0.000 0.500 0.076
Th1 0.000 0.000 0.195
Ge1 0.000 0.000 0.333
Ge2 0.000 0.000 0.500
N1 0.000 0.000 0.088
```

***

Entry 4:
This entry pairs a crystal structure of Hf5NbGe5 with its computed X-ray diffraction stick pattern. Radiation: λ = 1.5418 Å (Cu Kα). Structure: the PBE geometry in Alexandria.
No peak broadening, texture or thermal motion is included.

Top 12 peaks for 2θ = 10–90°, by angle:
d 3.091, 2θ = 28.9°, rel. 52, hkl 1 1 -2; d 3.066, 2θ = 29.1°, rel. 51, hkl 3 1 0; d 2.679, 2θ = 33.5°, rel. 92, hkl 4 0 -2; d 2.671, 2θ = 33.6°, rel. 92, hkl 0 2 0; d 2.649, 2θ = 33.8°, rel. 89, hkl 2 0 2; d 1.892, 2θ = 48.1°, rel. 100, hkl 4 2 -2; d 1.881, 2θ = 48.4°, rel. 65, hkl 2 2 2; d 1.872, 2θ = 48.6°, rel. 33, hkl 6 0 0; d 1.608, 2θ = 57.3°, rel. 16, hkl 3 3 0; d 1.545, 2θ = 59.9°, rel. 35, hkl 2 2 -4; d 1.533, 2θ = 60.4°, rel. 33, hkl 6 2 0; d 1.193, 2θ = 80.5°, rel. 22, hkl 2 4 2

Structure:
```
data_Hf5NbGe5
_cell_length_a 11.897
_cell_length_b 5.341
_cell_length_c 7.580
_cell_angle_alpha 90.00
_cell_angle_beta 109.21
_cell_angle_gamma 90.00
_symmetry_space_group_name_H-M 'C 1 2/m 1'
_symmetry_Int_Tables_number 12
loop_
_symmetry_equiv_pos_as_xyz
'x,y,z'
'-x,-y,-z'
'-x,y,-z'
'x,-y,z'
'x+1/2,y+1/2,z'
'-x+1/2,-y+1/2,-z'
'-x+1/2,y+1/2,-z'
'x+1/2,-y+1/2,z'
loop_
_atom_site_label
_atom_site_fract_x
_atom_site_fract_y
_atom_site_fract_z
Hf1 0.000 0.000 0.000
Hf2 0.161 0.500 0.326
Hf3 0.172 0.500 0.833
Nb1 0.000 0.000 0.500
Ge1 0.000 0.500 0.500
Ge2 0.165 0.000 0.830
Ge3 0.168 0.000 0.340
```

***

Entry 5:
This entry pairs a crystal structure of NdHf2GeO8 with its computed X-ray diffraction stick pattern. Radiation: λ = 1.5418 Å (Cu Kα). Structure: the PBE geometry in Alexandria.
No peak broadening, texture or thermal motion is included.

Top 12 peaks for 2θ = 10–90°, by angle:
d 4.867, 2θ = 18.2°, rel. 13, hkl 1 0 0; d 3.531, 2θ = 25.2°, rel. 61, hkl 1 0 -1; d 3.358, 2θ = 26.5°, rel. 53, hkl 1 0 1; d 2.734, 2θ = 32.8°, rel. 100, hkl 0 2 1; d 2.433, 2θ = 36.9°, rel. 29, hkl 2 0 0; d 1.844, 2θ = 49.4°, rel. 42, hkl 1 2 -2; d 1.793, 2θ = 50.9°, rel. 36, hkl 1 2 2; d 1.765, 2θ = 51.8°, rel. 10, hkl 2 0 -2; d 1.563, 2θ = 59.1°, rel. 11, hkl 3 0 -1; d 1.482, 2θ = 62.7°, rel. 10, hkl 1 4 1; d 1.456, 2θ = 63.9°, rel. 22, hkl 3 2 0; d 1.367, 2θ = 68.7°, rel. 11, hkl 2 4 0

Structure:
```
data_NdHf2GeO8
_cell_length_a 4.873
_cell_length_b 6.609
_cell_length_c 4.873
_cell_angle_alpha 90.00
_cell_angle_beta 92.87
_cell_angle_gamma 90.00
_symmetry_space_group_name_H-M 'P 1 2/m 1'
_symmetry_Int_Tables_number 10
loop_
_symmetry_equiv_pos_as_xyz
'x,y,z'
'-x,-y,-z'
'-x,y,-z'
'x,-y,z'
loop_
_atom_site_label
_atom_site_fract_x
_atom_site_fract_y
_atom_site_fract_z
Nd1 0.000 0.000 0.000
Hf1 0.500 0.255 0.500
Ge1 0.000 0.500 0.000
O1 0.196 0.296 0.198
O2 0.293 0.500 0.708
O3 0.327 0.000 0.675
```

***

Entry 6:
This entry pairs a crystal structure of HfNi4Ge2 with its computed X-ray diffraction stick pattern. Radiation: λ = 1.5418 Å (Cu Kα). Structure: the PBE geometry in Alexandria.
No peak broadening, texture or thermal motion is included.

Top 12 peaks for 2θ = 10–90°, by angle:
d 3.483, 2θ = 25.6°, rel. 22, hkl 2 1 0; d 2.495, 2θ = 36.0°, rel. 44, hkl 1 1 2; d 2.457, 2θ = 36.6°, rel. 33, hkl 6 0 0; d 2.394, 2θ = 37.6°, rel. 33, hkl 2 1 2; d 2.250, 2θ = 40.1°, rel. 63, hkl 3 1 2; d 2.225, 2θ = 40.5°, rel. 100, hkl 5 1 1; d 2.198, 2θ = 41.1°, rel. 19, hkl 5 0 2; d 2.087, 2θ = 43.4°, rel. 20, hkl 6 1 0; d 2.006, 2θ = 45.2°, rel. 20, hkl 7 0 1; d 1.976, 2θ = 45.9°, rel. 59, hkl 0 2 0; d 1.921, 2θ = 47.3°, rel. 36, hkl 0 1 3; d 1.858, 2θ = 49.0°, rel. 24, hkl 2 1 3

Structure:
```
data_HfNi4Ge2
_cell_length_a 14.743
_cell_length_b 3.952
_cell_length_c 6.592
_cell_angle_alpha 90.00
_cell_angle_beta 90.00
_cell_angle_gamma 90.00
_symmetry_space_group_name_H-M 'P n m a'
_symmetry_Int_Tables_number 62
loop_
_symmetry_equiv_pos_as_xyz
'x,y,z'
'-x,-y,-z'
'-x+1/2,-y,z+1/2'
'x+1/2,y,-z+1/2'
'x+1/2,-y+1/2,-z+1/2'
'-x+1/2,y+1/2,z+1/2'
'-x,y+1/2,-z'
'x,-y+1/2,z'
loop_
_atom_site_label
_atom_site_fract_x
_atom_site_fract_y
_atom_site_fract_z
Hf1 0.146 0.250 0.067
Ni1 0.041 0.750 0.890
Ni2 0.058 0.250 0.448
Ni3 0.178 0.750 0.409
Ni4 0.211 0.750 0.823
Ge1 0.029 0.750 0.247
Ge2 0.202 0.250 0.627
```

***

Entry 7:
This entry pairs a crystal structure of Hf3NiGe3 with its computed X-ray diffraction stick pattern. Radiation: λ = 1.5418 Å (Cu Kα). Structure: the PBE geometry in Alexandria.
No peak broadening, texture or thermal motion is included.

Top 12 peaks for 2θ = 10–90°, by angle:
d 3.119, 2θ = 28.6°, rel. 12, hkl 2 0 -4; d 2.557, 2θ = 35.1°, rel. 47, hkl 1 1 3; d 2.519, 2θ = 35.6°, rel. 100, hkl 1 1 -4; d 2.481, 2θ = 36.2°, rel. 31, hkl 4 0 -2; d 2.222, 2θ = 40.6°, rel. 21, hkl 3 1 -4; d 2.091, 2θ = 43.3°, rel. 12, hkl 4 0 -5; d 2.087, 2θ = 43.4°, rel. 33, hkl 3 1 2; d 2.072, 2θ = 43.7°, rel. 14, hkl 0 0 6; d 1.949, 2θ = 46.6°, rel. 32, hkl 0 2 0; d 1.560, 2θ = 59.2°, rel. 14, hkl 4 0 -8; d 1.533, 2θ = 60.4°, rel. 14, hkl 4 2 -2; d 1.333, 2θ = 70.7°, rel. 16, hkl 7 1 -3

Structure:
```
data_Hf3NiGe3
_cell_length_a 9.931
_cell_length_b 3.898
_cell_length_c 13.207
_cell_angle_alpha 90.00
_cell_angle_beta 109.75
_cell_angle_gamma 90.00
_symmetry_space_group_name_H-M 'C 1 2/m 1'
_symmetry_Int_Tables_number 12
loop_
_symmetry_equiv_pos_as_xyz
'x,y,z'
'-x,-y,-z'
'-x,y,-z'
'x,-y,z'
'x+1/2,y+1/2,z'
'-x+1/2,-y+1/2,-z'
'-x+1/2,y+1/2,-z'
'x+1/2,-y+1/2,z'
loop_
_atom_site_label
_atom_site_fract_x
_atom_site_fract_y
_atom_site_fract_z
Hf1 0.019 0.000 0.379
Hf2 0.102 0.000 0.920
Hf3 0.242 0.000 0.230
Ni1 0.235 0.500 0.387
Ge1 0.020 0.500 0.235
Ge2 0.125 0.500 0.076
Ge3 0.143 0.500 0.541
```

***

Entry 8:
This entry pairs a crystal structure of HfThNi2Ge2 with its computed X-ray diffraction stick pattern. Radiation: λ = 1.5418 Å (Cu Kα). Structure: the PBE geometry in Alexandria.
No peak broadening, texture or thermal motion is included.

Top 12 peaks for 2θ = 10–90°, by angle:
d 3.624, 2θ = 24.6°, rel. 32, hkl 1 0 0; d 3.225, 2θ = 27.7°, rel. 6, hkl 0 1 1; d 2.532, 2θ = 35.5°, rel. 100, hkl 0 1 2; d 2.092, 2θ = 43.2°, rel. 51, hkl 1 1 0; d 1.769, 2θ = 51.7°, rel. 5, hkl 0 0 4; d 1.613, 2θ = 57.1°, rel. 26, hkl 2 0 2; d 1.590, 2θ = 58.0°, rel. 12, hkl 1 0 4; d 1.565, 2θ = 59.0°, rel. 5, hkl 1 1 3; d 1.351, 2θ = 69.6°, rel. 13, hkl 1 1 4; d 1.277, 2θ = 74.3°, rel. 24, hkl 1 2 2; d 1.266, 2θ = 75.0°, rel. 6, hkl 0 2 4; d 1.208, 2θ = 79.3°, rel. 8, hkl 3 0 0

Structure:
```
data_HfThNi2Ge2
_cell_length_a 4.1843
_cell_length_b 4.1843
_cell_length_c 7.0771
_cell_angle_alpha 90.00
_cell_angle_beta 90.00
_cell_angle_gamma 120.00
_symmetry_space_group_name_H-M 'P -3 m 1'
_symmetry_Int_Tables_number 164
_symmetry_space_group_name_Hall '-P 3 2"'
loop_
_atom_site_label
_atom_site_fract_x
_atom_site_fract_y
_atom_site_fract_z
Hf1 0.0000 0.0000 0.0000
Th1 0.0000 0.0000 0.5000
Ni1 0.3333 0.6667 0.1777
Ge1 0.3333 0.6667 0.7770
```